No. 1
For Cs2Rb4ZnCoO5, the PBE+U geometry in OQMD gives the computed XRD peak list in this record (Cu Kα (λ = 1.5418 Å)).
Lines closer than 0.1° are merged.

Atomic structure:
abc: 7.0124 7.0124 6.9930
angles: 92.99 92.99 117.35
Element x y z (fractional)
Cs (0.2021, 0.7979, 0.0000)
Cs (0.7979, 0.2021, 0.0000)
Rb (0.2361, 0.7658, 0.4975)
Rb (0.3535, 0.3535, 0.1886)
Rb (0.6228, 0.6228, 0.8113)
Rb (0.7658, 0.2361, 0.4975)
Zn (0.2051, 0.2051, 0.6533)
Co (0.7918, 0.7918, 0.3047)
O (0.0475, 0.0475, 0.4134)
O (0.1688, 0.4408, 0.7630)
O (0.4408, 0.1688, 0.7630)
O (0.5522, 0.8228, 0.2432)
O (0.8228, 0.5522, 0.2432)

Peak list (10 most intense, 2θ from 10° to 80°, in order of falling intensity)
2θ (°)  I (rel.)
29.70  100
28.77  85
28.31  47
29.83  41
25.46  40
37.57  33
47.03  30
29.12  28
33.87  28
37.32  26

No. 2
For CsTbCoO3, the PBE+U geometry in OQMD gives the computed XRD peak list in this record (Cu Kα (λ = 1.5418 Å)).
Lines closer than 0.1° are merged.

Atomic structure:
abc: 6.8108 6.8108 9.1706
angles: 90.00 90.00 149.62
Element x y z (fractional)
Cs (0.2245, 0.7755, 0.7500)
Cs (0.7755, 0.2245, 0.2500)
Tb (0.5000, 0.5000, 0.0000)
Tb (0.5000, 0.5000, 0.5000)
Co (0.0512, 0.9488, 0.2500)
Co (0.9488, 0.0512, 0.7500)
O (0.1049, 0.8951, 0.0552)
O (0.1049, 0.8951, 0.4448)
O (0.4707, 0.5293, 0.2500)
O (0.5293, 0.4707, 0.7500)
O (0.8951, 0.1049, 0.5552)
O (0.8951, 0.1049, 0.9448)

Peak list (10 most intense, 2θ from 10° to 80°, in order of falling intensity)
2θ (°)  I (rel.)
23.66  100
32.51  73
33.83  57
27.13  50
13.47  47
47.30  44
32.35  42
39.30  38
27.66  27
48.41  24

No. 3
For Cs6ZnCoO5, the PBE+U geometry in OQMD gives the computed XRD peak list in this record (Cu Kα (λ = 1.5418 Å)).
Lines closer than 0.1° are merged.

Atomic structure:
abc: 7.1787 7.1787 7.2675
angles: 93.07 93.07 117.76
Element x y z (fractional)
Cs (0.0000, 0.0000, 0.0000)
Cs (0.2908, 0.2908, 0.6205)
Cs (0.4108, 0.8881, 0.3019)
Cs (0.4396, 0.8597, 0.8068)
Cs (0.8597, 0.4396, 0.8068)
Cs (0.8881, 0.4108, 0.3019)
Zn (0.4599, 0.4599, 0.1152)
Co (0.8594, 0.8594, 0.4869)
O (0.0740, 0.8109, 0.5773)
O (0.2149, 0.4822, 0.0309)
O (0.4822, 0.2149, 0.0309)
O (0.6961, 0.6961, 0.2583)
O (0.8109, 0.0740, 0.5773)

Peak list (10 most intense, 2θ from 10° to 80°, in order of falling intensity)
2θ (°)  I (rel.)
28.65  100
28.21  83
29.06  46
27.30  36
36.56  31
24.86  26
32.84  23
36.03  22
45.60  22
28.36  21

Q: Number 1 is which compound?
A: Cs2Rb4ZnCoO5